[1]
Starting from the PBE geometry in Alexandria, the powder XRD pattern of La3MnTl3S8 was computed for Cu Kα.
Lines closer than 0.1° are merged.

Structure:
Cell lengths 8.906, 8.906, 8.906 Å; angles 54.92, 54.92, 54.92 degrees
Element x y z (fractional)
La (0.000, 0.500, 0.500)
La (0.500, 0.000, 0.500)
La (0.500, 0.500, 0.000)
Mn (0.000, 0.000, 0.000)
Tl (0.000, 0.000, 0.500)
Tl (0.000, 0.500, 0.000)
Tl (0.500, 0.000, 0.000)
S (0.203, 0.203, 0.776)
S (0.203, 0.776, 0.203)
S (0.224, 0.797, 0.797)
S (0.264, 0.264, 0.264)
S (0.736, 0.736, 0.736)
S (0.776, 0.203, 0.203)
S (0.797, 0.224, 0.797)
S (0.797, 0.797, 0.224)

Main lines, by angle (10° ≤ 2θ ≤ 80°):
2θ = 14.71°, rel. 22; 2θ = 23.60°, rel. 27; 2θ = 26.27°, rel. 55; 2θ = 29.67°, rel. 100; 2θ = 40.77°, rel. 36; 2θ = 44.10°, rel. 33; 2θ = 47.65°, rel. 16; 2θ = 50.62°, rel. 23; 2θ = 54.06°, rel. 17; 2θ = 72.24°, rel. 14

---

[2]
Starting from the PBE geometry in Alexandria, the powder XRD pattern of La4Mn3Sb8 was computed for Cu Kα.
Lines closer than 0.1° are merged.

Structure:
Cell lengths 4.430, 4.430, 21.152 Å; angles 90.00, 90.00, 90.00 degrees
Element x y z (fractional)
La (0.000, 0.500, 0.122)
La (0.000, 0.500, 0.636)
La (0.500, 0.000, 0.364)
La (0.500, 0.000, 0.878)
Mn (0.000, 0.000, 0.000)
Mn (0.000, 0.000, 0.500)
Mn (0.500, 0.500, 0.500)
Sb (0.000, 0.000, 0.243)
Sb (0.000, 0.000, 0.757)
Sb (0.000, 0.500, 0.419)
Sb (0.000, 0.500, 0.932)
Sb (0.500, 0.000, 0.068)
Sb (0.500, 0.000, 0.581)
Sb (0.500, 0.500, 0.243)
Sb (0.500, 0.500, 0.757)

Main lines, by angle (10° ≤ 2θ ≤ 80°):
2θ = 26.24°, rel. 28; 2θ = 29.75°, rel. 25; 2θ = 32.46°, rel. 28; 2θ = 33.25°, rel. 100; 2θ = 40.74°, rel. 46; 2θ = 47.64°, rel. 18; 2θ = 53.03°, rel. 14; 2θ = 58.98°, rel. 15; 2θ = 64.46°, rel. 17; 2θ = 69.41°, rel. 23

---

[3]
Starting from the PBE geometry in Alexandria, the powder XRD pattern of La4Mn3Sb8 was computed for Cu Kα.
Lines closer than 0.1° are merged.

Structure:
Cell lengths 11.482, 11.482, 11.482 Å; angles 148.35, 148.35, 45.37 degrees
Element x y z (fractional)
La (0.119, 0.621, 0.000)
La (0.379, 0.379, 0.498)
La (0.621, 0.119, 0.000)
La (0.881, 0.881, 0.502)
Mn (0.000, 0.000, 0.000)
Mn (0.000, 0.500, 0.500)
Mn (0.500, 0.000, 0.500)
Sb (0.178, 0.178, 0.503)
Sb (0.250, 0.250, 0.000)
Sb (0.250, 0.750, 0.500)
Sb (0.325, 0.822, 0.000)
Sb (0.675, 0.675, 0.497)
Sb (0.750, 0.250, 0.500)
Sb (0.750, 0.750, 0.000)
Sb (0.822, 0.325, 0.000)

Main lines, by angle (10° ≤ 2θ ≤ 80°):
2θ = 26.23°, rel. 31; 2θ = 29.75°, rel. 25; 2θ = 32.43°, rel. 31; 2θ = 33.24°, rel. 100; 2θ = 40.75°, rel. 46; 2θ = 47.58°, rel. 21; 2θ = 53.02°, rel. 15; 2θ = 59.00°, rel. 15; 2θ = 64.40°, rel. 16; 2θ = 69.43°, rel. 23

---

[4]
Starting from the PBE geometry in Alexandria, the powder XRD pattern of LaTaMnSi2 was computed for Cu Kα.
Lines closer than 0.1° are merged.

Structure:
Cell lengths 6.384, 6.384, 6.384 Å; angles 143.01, 143.01, 53.31 degrees
Element x y z (fractional)
La (0.000, 0.000, 0.000)
Ta (0.250, 0.750, 0.500)
Mn (0.750, 0.250, 0.500)
Si (0.387, 0.387, 0.000)
Si (0.613, 0.613, 0.000)

Main lines, by angle (10° ≤ 2θ ≤ 80°):
2θ = 23.30°, rel. 45; 2θ = 31.36°, rel. 23; 2θ = 32.28°, rel. 37; 2θ = 35.05°, rel. 100; 2θ = 44.76°, rel. 40; 2θ = 45.62°, rel. 17; 2θ = 55.65°, rel. 18; 2θ = 56.25°, rel. 15; 2θ = 58.23°, rel. 19; 2θ = 76.17°, rel. 21

---

[5]
Starting from the PBE geometry in Alexandria, the powder XRD pattern of LaYMn4Si4 was computed for Cu Kα.
Lines closer than 0.1° are merged.

Structure:
Cell lengths 3.949, 3.949, 10.533 Å; angles 90.00, 90.00, 90.00 degrees
Element x y z (fractional)
La (0.000, 0.000, 0.000)
Y (0.500, 0.500, 0.500)
Mn (0.000, 0.500, 0.257)
Mn (0.000, 0.500, 0.743)
Mn (0.500, 0.000, 0.257)
Mn (0.500, 0.000, 0.743)
Si (0.000, 0.000, 0.382)
Si (0.000, 0.000, 0.618)
Si (0.500, 0.500, 0.132)
Si (0.500, 0.500, 0.868)

Main lines, by angle (10° ≤ 2θ ≤ 80°):
2θ = 24.07°, rel. 30; 2θ = 34.05°, rel. 17; 2θ = 34.17°, rel. 55; 2θ = 36.42°, rel. 100; 2θ = 45.96°, rel. 40; 2θ = 49.01°, rel. 19; 2θ = 58.47°, rel. 36; 2θ = 62.49°, rel. 18; 2θ = 69.45°, rel. 13; 2θ = 78.75°, rel. 19

---

[6]
Starting from the PBE geometry in Alexandria, the powder XRD pattern of SrLaY2Mn was computed for Cu Kα.
Lines closer than 0.1° are merged.

Structure:
Cell lengths 5.534, 5.534, 5.340 Å; angles 90.00, 90.00, 90.00 degrees
Element x y z (fractional)
Sr (0.000, 0.000, 0.000)
La (0.500, 0.500, 0.000)
Y (0.000, 0.500, 0.500)
Y (0.500, 0.000, 0.500)
Mn (0.500, 0.500, 0.500)

Main lines, by angle (10° ≤ 2θ ≤ 80°):
2θ = 16.02°, rel. 18; 2θ = 28.28°, rel. 100; 2θ = 32.36°, rel. 61; 2θ = 33.57°, rel. 28; 2θ = 46.41°, rel. 22; 2θ = 47.31°, rel. 41; 2θ = 55.24°, rel. 30; 2θ = 56.83°, rel. 14; 2θ = 58.49°, rel. 22; 2θ = 76.31°, rel. 12

---

[7]
Starting from the PBE geometry in Alexandria, the powder XRD pattern of LaMn3Tc was computed for Cu Kα.
Lines closer than 0.1° are merged.

Structure:
Cell lengths 4.717, 4.717, 4.717 Å; angles 90.00, 90.00, 90.00 degrees
Element x y z (fractional)
La (0.000, 0.000, 0.000)
Mn (0.000, 0.500, 0.500)
Mn (0.500, 0.000, 0.500)
Mn (0.500, 0.500, 0.000)
Tc (0.500, 0.500, 0.500)

Main lines, by angle (10° ≤ 2θ ≤ 80°):
2θ = 18.81°, rel. 2; 2θ = 26.73°, rel. 100; 2θ = 32.89°, rel. 50; 2θ = 38.16°, rel. 97; 2θ = 47.20°, rel. 43; 2θ = 55.07°, rel. 64; 2θ = 62.24°, rel. 19; 2θ = 65.65°, rel. 18; 2θ = 68.96°, rel. 21; 2θ = 75.40°, rel. 22

---

[8]
Starting from the PBE geometry in Alexandria, the powder XRD pattern of LaMnTl2 was computed for Cu Kα.
Lines closer than 0.1° are merged.

Structure:
Cell lengths 10.108, 10.108, 10.108 Å; angles 20.10, 20.10, 20.10 degrees
Element x y z (fractional)
La (0.000, 0.000, 0.000)
Mn (0.500, 0.500, 0.500)
Tl (0.239, 0.239, 0.239)
Tl (0.761, 0.761, 0.761)

Main lines, by angle (10° ≤ 2θ ≤ 80°):
2θ = 27.02°, rel. 15; 2θ = 29.85°, rel. 14; 2θ = 31.67°, rel. 100; 2θ = 36.28°, rel. 17; 2θ = 38.14°, rel. 52; 2θ = 49.83°, rel. 13; 2θ = 51.83°, rel. 27; 2θ = 62.02°, rel. 15; 2θ = 64.91°, rel. 17; 2θ = 66.12°, rel. 13

---

[9]
Starting from the PBE geometry in Alexandria, the powder XRD pattern of LaMnV2 was computed for Cu Kα.
Lines closer than 0.1° are merged.

Structure:
Cell lengths 4.562, 4.562, 4.562 Å; angles 60.00, 60.00, 60.00 degrees
Element x y z (fractional)
La (0.000, 0.000, 0.000)
Mn (0.500, 0.500, 0.500)
V (0.250, 0.250, 0.250)
V (0.750, 0.750, 0.750)

Main lines, by angle (10° ≤ 2θ ≤ 80°):
2θ = 23.89°, rel. 18; 2θ = 27.65°, rel. 13; 2θ = 39.50°, rel. 100; 2θ = 46.69°, rel. 10; 2θ = 48.90°, rel. 4; 2θ = 57.10°, rel. 16; 2θ = 62.77°, rel. 4; 2θ = 64.60°, rel. 5; 2θ = 71.65°, rel. 31; 2θ = 76.76°, rel. 3

---

[10]
Starting from the PBE geometry in Alexandria, the powder XRD pattern of LaZrMn2 was computed for Cu Kα.
Lines closer than 0.1° are merged.

Structure:
Cell lengths 3.110, 3.110, 8.437 Å; angles 90.00, 90.00, 90.00 degrees
Element x y z (fractional)
La (0.000, 0.000, 0.000)
Zr (0.500, 0.500, 0.640)
Mn (0.000, 0.000, 0.416)
Mn (0.500, 0.500, 0.277)

Main lines, by angle (10° ≤ 2θ ≤ 80°):
2θ = 21.06°, rel. 13; 2θ = 30.64°, rel. 58; 2θ = 31.82°, rel. 31; 2θ = 35.87°, rel. 100; 2θ = 41.04°, rel. 57; 2θ = 43.38°, rel. 19; 2θ = 52.85°, rel. 29; 2θ = 59.44°, rel. 18; 2θ = 62.63°, rel. 13; 2θ = 71.41°, rel. 25

---

[11]
Starting from the PBE geometry in Alexandria, the powder XRD pattern of La2ZrMn was computed for Cu Kα.
Lines closer than 0.1° are merged.

Structure:
Cell lengths 6.280, 6.280, 6.280 Å; angles 145.39, 129.00, 63.11 degrees
Element x y z (fractional)
La (0.000, 0.000, 0.000)
La (0.717, 0.217, 0.500)
Zr (0.426, 0.426, 0.000)
Mn (0.249, 0.749, 0.500)

Main lines, by angle (10° ≤ 2θ ≤ 80°):
2θ = 25.25°, rel. 14; 2θ = 30.01°, rel. 26; 2θ = 33.13°, rel. 30; 2θ = 33.49°, rel. 17; 2θ = 33.62°, rel. 100; 2θ = 47.83°, rel. 12; 2θ = 48.75°, rel. 10; 2θ = 49.05°, rel. 12; 2θ = 59.50°, rel. 19; 2θ = 60.46°, rel. 18

---

[12]
Starting from the PBE geometry in Alexandria, the powder XRD pattern of La4Mo3 was computed for Cu Kα.
Lines closer than 0.1° are merged.

Structure:
Cell lengths 5.510, 5.510, 6.484 Å; angles 90.00, 90.00, 120.00 degrees
Element x y z (fractional)
La (0.000, 0.000, 0.243)
La (0.000, 0.000, 0.757)
La (0.333, 0.667, 0.000)
La (0.667, 0.333, 0.000)
Mo (0.000, 0.500, 0.500)
Mo (0.500, 0.000, 0.500)
Mo (0.500, 0.500, 0.500)

Main lines, by angle (10° ≤ 2θ ≤ 80°):
2θ = 32.50°, rel. 42; 2θ = 33.41°, rel. 100; 2θ = 35.40°, rel. 49; 2θ = 37.70°, rel. 26; 2θ = 40.27°, rel. 40; 2θ = 53.92°, rel. 11; 2θ = 57.53°, rel. 17; 2θ = 58.56°, rel. 39; 2θ = 68.06°, rel. 17; 2θ = 77.97°, rel. 17